Theoretical X-ray diffraction stick pattern of Dy2WO6 for Cu Kα (weighted mean of Kα1 and Kα2), from a cell relaxed with PBE+U.
Neutral-atom scattering factors, no anomalous dispersion.

Most intense lines, 2θ = 5–70°, low angle first:
2θ (°)  d/Å  I/Imax
28.1  3.180  1000
29.7  3.007  861
33.2  2.702  244
35.0  2.561  196
46.9  1.938  390
48.3  1.883  214

Atomic structure:
a = 15.9217 Å, b = 11.1190 Å, c = 5.4216 Å
α = 90.00°, β = 105.19°, γ = 90.00°
Space group C2/c (No. 15)
Unique sites:
Dy 0.0000 0.1079 0.2500 [4 per cell]
Dy 0.0000 0.3781 0.7500 [4 per cell]
Dy 0.1731 0.1114 0.8864 [8 per cell]
W 0.1580 0.3388 0.4150 [8 per cell]
O 0.0799 0.4557 0.4696 [8 per cell]
O 0.0857 0.2316 0.5755 [8 per cell]
O 0.0908 0.0141 0.0804 [8 per cell]
O 0.0955 0.2836 0.0901 [8 per cell]
O 0.2349 0.4564 0.3564 [8 per cell]
O 0.2486 0.2836 0.7226 [8 per cell]